Record 1
# Na3NpO6
Simulated powder X-ray diffraction pattern, copper Kα. Input: DFT lattice parameters and positions (GGA-PBE).
Lines closer than 0.1° are merged.

Crystal structure
Unit cell a=5.7702 b=5.9957 c=10.8660 alpha=82.77 beta=74.61 gamma=61.27
Fractional coordinates of all 20 atoms:
1 Na 0.0000 0.0000 0.0000
2 Na 0.0331 0.7900 0.6824
3 Na 0.2765 0.2930 0.1816
4 Na 0.5712 0.4998 0.8666
5 Na 0.7867 0.4969 0.4980
6 Na 0.8438 0.0006 0.3694
7 Np 0.3573 0.1378 0.6840
8 Np 0.6017 0.6400 0.1847
9 O 0.0268 0.4001 0.7898
10 O 0.1429 0.1340 0.5745
11 O 0.2746 0.8799 0.7930
12 O 0.2782 0.6353 0.2945
13 O 0.3754 0.9014 0.0797
14 O 0.4314 0.3949 0.5767
15 O 0.5658 0.8982 0.2927
16 O 0.5755 0.1340 0.7940
17 O 0.6309 0.3816 0.0748
18 O 0.6968 0.8753 0.5767
19 O 0.8357 0.3783 0.2911
20 O 0.9289 0.6373 0.0749

Top 12 peaks for 5° ≤ 2θ ≤ 70°, low angle first:
Position (°2θ)	I (rel.)
16.9	703
18.0	1000
18.9	951
21.7	778
27.6	438
30.1	406
30.7	320
32.2	269
32.5	274
34.8	197
39.6	323
42.7	192

***

Record 2
# Na3NpO6
Simulated powder X-ray diffraction pattern, copper Kα. Input: DFT lattice parameters and positions (GGA-PBE).
Lines closer than 0.1° are merged.

Crystal structure
Unit cell a=5.9971 b=5.9971 c=11.7118 alpha=113.08 beta=113.08 gamma=57.51
Fractional coordinates of all 20 atoms:
1 Na 0.0437 0.3251 0.3694
2 Na 0.1119 0.8881 0.5000
3 Na 0.3251 0.0437 0.8694
4 Na 0.6131 0.8671 0.1878
5 Na 0.8671 0.6131 0.6878
6 Na 0.8881 0.1119 0.0000
7 Np 0.2853 0.5388 0.1847
8 Np 0.5388 0.2853 0.6847
9 O 0.0561 0.6194 0.2946
10 O 0.1983 0.2577 0.5783
11 O 0.2577 0.1983 0.0783
12 O 0.3204 0.8700 0.2896
13 O 0.3213 0.6099 0.7945
14 O 0.4666 0.5077 0.5767
15 O 0.5077 0.4666 0.0767
16 O 0.6099 0.3213 0.2945
17 O 0.6194 0.0561 0.7946
18 O 0.7524 0.9572 0.5749
19 O 0.8700 0.3204 0.7896
20 O 0.9572 0.7524 0.0749

Top 12 peaks for 5° ≤ 2θ ≤ 70°, low angle first:
Position (°2θ)	I (rel.)
16.9	702
18.0	1000
18.9	952
21.7	778
27.6	438
30.1	405
30.7	320
32.2	269
32.5	274
34.8	197
39.6	324
42.7	191

***

Record 3
# Na3NpO8
Simulated powder X-ray diffraction pattern, copper Kα. Input: DFT lattice parameters and positions (GGA-PBE).
Lines closer than 0.1° are merged.

Crystal structure
Unit cell a=6.3469 b=8.2782 c=7.3828 alpha=90.00 beta=120.81 gamma=90.00
Fractional coordinates of all 24 atoms:
1 Na 0.0000 0.0000 0.0000
2 Na 0.0000 0.5000 0.5000
3 Na 0.4363 0.2062 0.4750
4 Na 0.4363 0.2938 0.9750
5 Na 0.5637 0.7062 0.0250
6 Na 0.5637 0.7938 0.5250
7 Np 0.0000 0.0000 0.5000
8 Np 0.0000 0.5000 0.0000
9 O 0.1080 0.2174 0.5639
10 O 0.1080 0.2826 0.0639
11 O 0.1988 0.5326 0.8758
12 O 0.1988 0.9674 0.3758
13 O 0.3090 0.5723 0.3620
14 O 0.3090 0.9277 0.8620
15 O 0.4872 0.5307 0.3229
16 O 0.4872 0.9693 0.8229
17 O 0.5128 0.0307 0.1771
18 O 0.5128 0.4693 0.6771
19 O 0.6910 0.0723 0.1380
20 O 0.6910 0.4277 0.6380
21 O 0.8012 0.0326 0.6242
22 O 0.8012 0.4674 0.1242
23 O 0.8920 0.7174 0.9361
24 O 0.8920 0.7826 0.4361

Top 12 peaks for 5° ≤ 2θ ≤ 70°, low angle first:
Position (°2θ)	I (rel.)
16.3	483
17.6	933
18.5	1000
21.5	474
27.0	424
28.1	305
28.6	331
30.4	283
32.6	259
39.6	253
43.7	226
45.4	227

***

Record 4
# Na5NpO6
Simulated powder X-ray diffraction pattern, copper Kα. Input: DFT lattice parameters and positions (GGA-PBE).
Lines closer than 0.1° are merged.

Crystal structure
Unit cell a=5.8472 b=5.8472 c=5.8198 alpha=100.10 beta=100.10 gamma=119.69
Fractional coordinates of all 12 atoms:
1 Na 0.0000 0.0000 0.0000
2 Na 0.1669 0.8331 0.5000
3 Na 0.3297 0.6703 0.0000
4 Na 0.6703 0.3297 0.0000
5 Na 0.8331 0.1669 0.5000
6 Np 0.5000 0.5000 0.5000
7 O 0.1396 0.4263 0.2776
8 O 0.2900 0.2900 0.7097
9 O 0.4263 0.1396 0.2776
10 O 0.5737 0.8604 0.7224
11 O 0.7100 0.7100 0.2903
12 O 0.8604 0.5737 0.7224

Top 12 peaks for 5° ≤ 2θ ≤ 70°, low angle first:
Position (°2θ)	I (rel.)
16.3	683
17.5	555
18.3	1000
20.5	755
24.0	489
28.2	294
31.1	229
32.4	527
37.5	453
37.9	647
50.1	201
54.2	202

***

Record 5
# NaO8
Simulated powder X-ray diffraction pattern, copper Kα. Input: DFT lattice parameters and positions (GGA-PBE).
Lines closer than 0.1° are merged.

Crystal structure
Unit cell a=5.6958 b=15.7583 c=6.7539 alpha=90.00 beta=100.01 gamma=90.00
Fractional coordinates of all 36 atoms:
1 Na 0.0254 0.2026 0.4420
2 Na 0.0254 0.2974 0.9420
3 Na 0.9746 0.7026 0.0580
4 Na 0.9746 0.7974 0.5580
5 O 0.0398 0.5856 0.8350
6 O 0.0398 0.9144 0.3350
7 O 0.0715 0.1018 0.8526
8 O 0.0715 0.3982 0.3526
9 O 0.1568 0.0371 0.9587
10 O 0.1568 0.4629 0.4587
11 O 0.2855 0.2138 0.1882
12 O 0.2855 0.2862 0.6882
13 O 0.3262 0.6808 0.3077
14 O 0.3262 0.8192 0.8077
15 O 0.3547 0.0772 0.5002
16 O 0.3547 0.4228 0.0002
17 O 0.4829 0.7327 0.2443
18 O 0.4829 0.7673 0.7443
19 O 0.4914 0.0915 0.6596
20 O 0.4914 0.4085 0.1596
21 O 0.5086 0.5915 0.8404
22 O 0.5086 0.9085 0.3404
23 O 0.5171 0.2327 0.2557
24 O 0.5171 0.2673 0.7557
25 O 0.6453 0.5772 0.9998
26 O 0.6453 0.9228 0.4998
27 O 0.6738 0.1808 0.1923
28 O 0.6738 0.3192 0.6923
29 O 0.7145 0.7138 0.3118
30 O 0.7145 0.7862 0.8118
31 O 0.8432 0.5371 0.5413
32 O 0.8432 0.9629 0.0413
33 O 0.9285 0.6018 0.6474
34 O 0.9285 0.8982 0.1474
35 O 0.9602 0.0856 0.6650
36 O 0.9602 0.4144 0.1650

Top 12 peaks for 5° ≤ 2θ ≤ 70°, low angle first:
Position (°2θ)	I (rel.)
11.2	197
16.8	146
23.2	232
25.4	135
26.3	1000
29.1	157
29.3	238
30.9	258
34.1	155
34.4	339
36.8	291
39.9	232

***

Record 6
# NaO8
Simulated powder X-ray diffraction pattern, copper Kα. Input: DFT lattice parameters and positions (GGA-PBE).
Lines closer than 0.1° are merged.

Crystal structure
Unit cell a=4.6491 b=18.3867 c=7.2674 alpha=90.00 beta=90.98 gamma=90.00
Fractional coordinates of all 36 atoms:
1 Na 0.0364 0.1835 0.0410
2 Na 0.0364 0.3165 0.5410
3 Na 0.9636 0.6835 0.4590
4 Na 0.9636 0.8165 0.9590
5 O 0.0574 0.0441 0.3100
6 O 0.0574 0.4559 0.8100
7 O 0.0615 0.5657 0.3466
8 O 0.0615 0.9343 0.8466
9 O 0.1955 0.0928 0.4057
10 O 0.1955 0.4072 0.9057
11 O 0.1997 0.2307 0.7620
12 O 0.1997 0.2693 0.2620
13 O 0.3677 0.5906 0.7174
14 O 0.3677 0.9094 0.2174
15 O 0.4118 0.0691 0.8564
16 O 0.4118 0.4309 0.3564
17 O 0.4466 0.7024 0.3594
18 O 0.4466 0.7976 0.8594
19 O 0.4820 0.2470 0.7630
20 O 0.4820 0.2530 0.2630
21 O 0.5180 0.7470 0.7370
22 O 0.5180 0.7530 0.2370
23 O 0.5534 0.2024 0.1406
24 O 0.5534 0.2976 0.6406
25 O 0.5882 0.5691 0.6436
26 O 0.5882 0.9309 0.1436
27 O 0.6323 0.0906 0.7826
28 O 0.6323 0.4094 0.2826
29 O 0.8003 0.7307 0.7380
30 O 0.8003 0.7693 0.2380
31 O 0.8045 0.5928 0.0943
32 O 0.8045 0.9072 0.5943
33 O 0.9385 0.0657 0.1534
34 O 0.9385 0.4343 0.6534
35 O 0.9426 0.5441 0.1900
36 O 0.9426 0.9559 0.6900

Top 12 peaks for 5° ≤ 2θ ≤ 70°, low angle first:
Position (°2θ)	I (rel.)
13.1	344
18.9	396
24.5	1000
27.2	292
28.6	311
29.1	413
29.8	791
30.1	266
31.5	326
32.5	266
34.8	271
38.4	445

***

Record 7
# NaO5
Simulated powder X-ray diffraction pattern, copper Kα. Input: DFT lattice parameters and positions (GGA-PBE).
Lines closer than 0.1° are merged.

Crystal structure
Unit cell a=7.5614 b=7.5614 c=9.6973 alpha=129.01 beta=129.01 gamma=23.52
Fractional coordinates of all 12 atoms:
1 Na 0.0755 0.0755 0.2448
2 Na 0.9245 0.9245 0.7552
3 O 0.1133 0.1133 0.0330
4 O 0.2731 0.2731 0.5324
5 O 0.3421 0.3421 0.9073
6 O 0.4013 0.4013 0.3478
7 O 0.4923 0.4923 0.3665
8 O 0.5077 0.5077 0.6335
9 O 0.5987 0.5987 0.6522
10 O 0.6579 0.6579 0.0927
11 O 0.7269 0.7269 0.4676
12 O 0.8867 0.8867 0.9670

Top 12 peaks for 5° ≤ 2θ ≤ 70°, low angle first:
Position (°2θ)	I (rel.)
12.1	554
15.6	281
25.4	555
28.6	356
28.8	1000
30.4	609
34.5	734
36.5	591
40.7	630
52.7	239
53.6	363
60.0	230

***

Record 8
# NaO2
Simulated powder X-ray diffraction pattern, copper Kα. Input: DFT lattice parameters and positions (GGA-PBE).
Lines closer than 0.1° are merged.

Crystal structure
Unit cell a=5.1951 b=6.5458 c=9.2183 alpha=90.00 beta=90.00 gamma=90.00
Fractional coordinates of all 24 atoms:
1 Na 0.1555 0.1287 0.1168
2 Na 0.1555 0.3713 0.6168
3 Na 0.3445 0.6287 0.1168
4 Na 0.3445 0.8713 0.6168
5 Na 0.6555 0.1287 0.3832
6 Na 0.6555 0.3713 0.8832
7 Na 0.8445 0.6287 0.3832
8 Na 0.8445 0.8713 0.8832
9 O 0.0670 0.2009 0.8396
10 O 0.0670 0.2991 0.3396
11 O 0.1747 0.1373 0.4124
12 O 0.1747 0.3627 0.9124
13 O 0.3253 0.6373 0.4124
14 O 0.3253 0.8627 0.9124
15 O 0.4330 0.7009 0.8396
16 O 0.4330 0.7991 0.3396
17 O 0.5670 0.2009 0.6604
18 O 0.5670 0.2991 0.1604
19 O 0.6747 0.1373 0.0876
20 O 0.6747 0.3627 0.5876
21 O 0.8253 0.6373 0.0876
22 O 0.8253 0.8627 0.5876
23 O 0.9330 0.7009 0.6604
24 O 0.9330 0.7991 0.1604

Top 12 peaks for 5° ≤ 2θ ≤ 70°, low angle first:
Position (°2θ)	I (rel.)
27.2	265
28.9	392
29.3	218
36.6	135
37.2	1000
38.5	175
39.1	569
40.3	647
44.0	175
45.7	185
47.9	260
55.1	311

***

Record 9
# NaO2
Simulated powder X-ray diffraction pattern, copper Kα. Input: DFT lattice parameters and positions (GGA-PBE).
Lines closer than 0.1° are merged.

Crystal structure
Unit cell a=4.2296 b=5.6747 c=3.4740 alpha=90.00 beta=90.00 gamma=90.00
Fractional coordinates of all 6 atoms:
1 Na 0.0000 0.0000 0.0000
2 Na 0.5000 0.5000 0.5000
3 O 0.1159 0.4179 0.0000
4 O 0.3841 0.9179 0.5000
5 O 0.6159 0.0821 0.5000
6 O 0.8841 0.5821 0.0000

Top 12 peaks for 5° ≤ 2θ ≤ 70°, low angle first:
Position (°2θ)	I (rel.)
31.5	419
33.4	1000
37.0	70
38.2	96
42.8	78
46.6	396
52.7	147
53.2	91
54.1	63
60.8	71
62.7	84
68.6	59

***

Record 10
# NaO2
Simulated powder X-ray diffraction pattern, copper Kα. Input: DFT lattice parameters and positions (GGA-PBE).
Lines closer than 0.1° are merged.

Crystal structure
Unit cell a=5.1482 b=6.5009 c=9.3758 alpha=90.00 beta=90.00 gamma=90.00
Fractional coordinates of all 24 atoms:
1 Na 0.1553 0.2366 0.1224
2 Na 0.1553 0.2634 0.6224
3 Na 0.3447 0.7366 0.1224
4 Na 0.3447 0.7634 0.6224
5 Na 0.6553 0.2366 0.3776
6 Na 0.6553 0.2634 0.8776
7 Na 0.8447 0.7366 0.3776
8 Na 0.8447 0.7634 0.8776
9 O 0.0776 0.0568 0.3433
10 O 0.0776 0.4432 0.8433
11 O 0.2226 0.5389 0.4362
12 O 0.2226 0.9611 0.9362
13 O 0.2774 0.0389 0.4362
14 O 0.2774 0.4611 0.9362
15 O 0.4224 0.5568 0.3433
16 O 0.4224 0.9432 0.8433
17 O 0.5776 0.0568 0.1567
18 O 0.5776 0.4432 0.6567
19 O 0.7226 0.5389 0.0638
20 O 0.7226 0.9611 0.5638
21 O 0.7774 0.0389 0.0638
22 O 0.7774 0.4611 0.5638
23 O 0.9224 0.5568 0.1567
24 O 0.9224 0.9432 0.6567

Top 12 peaks for 5° ≤ 2θ ≤ 70°, low angle first:
Position (°2θ)	I (rel.)
29.1	198
29.2	141
36.4	167
37.6	277
37.9	1000
38.4	253
38.8	70
40.0	119
49.6	180
54.8	162
59.1	135
60.5	92